Diffraction record for TaMn3Pd6. The powder diffractogram is computed, not measured: it uses a structure optimized by DFT (PBE) and Cu Kα (λ = 1.5418 Å).
Lines closer than 0.1° are merged.

Structural model:
```
data_TaMn3Pd6
_chemical_formula_sum 'Ta2 Mn6 Pd12'
_symmetry_space_group_name_H-M 'P 1 21/m 1'
_symmetry_Int_Tables_number 11
_cell_length_a 8.4947
_cell_length_b 4.0406
_cell_length_c 9.0296
_cell_angle_alpha 90.00
_cell_angle_beta 94.28
_cell_angle_gamma 90.00
loop_
_symmetry_equiv_pos_as_xyz
'x,y,z'
'-x,-y,-z'
'-x,y+1/2,-z'
'x,-y+1/2,z'
loop_
_atom_site_label
_atom_site_type_symbol
_atom_site_fract_x
_atom_site_fract_y
_atom_site_fract_z
_atom_site_occupancy
Ta1 Ta 0.0593 0.2500 0.3817 1
Mn1 Mn 0.2495 0.2500 0.0164 1
Mn2 Mn 0.3486 0.7500 0.8088 1
Mn3 Mn 0.4482 0.2500 0.6027 1
Pd1 Pd 0.0589 0.7500 0.9027 1
Pd2 Pd 0.1512 0.2500 0.7003 1
Pd3 Pd 0.1538 0.7500 0.2077 1
Pd4 Pd 0.2468 0.7500 0.5089 1
Pd5 Pd 0.3648 0.2500 0.3112 1
Pd6 Pd 0.4590 0.7500 0.1020 1
```

Most intense lines, 2θ = 15–90°, low angle first:
hkl 1 1 3, 2θ 39.5, rel. 100
hkl 3 1 -1, 2θ 39.6, rel. 100
hkl 2 0 -4, 2θ 44.1, rel. 35
hkl 0 2 0, 2θ 44.9, rel. 36
hkl 4 0 2, 2θ 48.9, rel. 27
hkl 2 2 -4, 2θ 64.8, rel. 21
hkl 4 2 2, 2θ 68.5, rel. 19
hkl 1 1 -7, 2θ 78.0, rel. 11
hkl 1 3 3, 2θ 79.1, rel. 13
hkl 3 3 -1, 2θ 79.2, rel. 13



Diffraction record for Eu3Si6N4O9. The powder diffractogram is computed, not measured: it uses a structure optimized by DFT (PBE) and Cu Kα (λ = 1.5418 Å).
Lines closer than 0.1° are merged.

Structural model:
```
data_Eu3Si6N4O9
_chemical_formula_sum 'Eu3 Si6 N4 O9'
_symmetry_space_group_name_H-M 'P 3'
_symmetry_Int_Tables_number 143
_cell_length_a 7.1505
_cell_length_b 7.1505
_cell_length_c 6.6618
_cell_angle_alpha 90.00
_cell_angle_beta 90.00
_cell_angle_gamma 120.00
loop_
_symmetry_equiv_pos_as_xyz
'x,y,z'
'-y,x-y,z'
'-x+y,-x,z'
loop_
_atom_site_label
_atom_site_type_symbol
_atom_site_fract_x
_atom_site_fract_y
_atom_site_fract_z
_atom_site_occupancy
Eu1 Eu 0.0000 0.0000 0.0000 1
Eu2 Eu 0.3333 0.6667 0.1451 1
Eu3 Eu 0.6667 0.3333 0.0420 1
Si1 Si 0.0751 0.6284 0.6878 1
Si2 Si 0.2646 0.0437 0.4615 1
N1 N 0.0393 0.7941 0.5215 1
N2 N 0.3333 0.6667 0.6492 1
O1 O 0.0335 0.6651 0.9201 1
O2 O 0.3333 0.0414 0.2307 1
O3 O 0.4534 0.0828 0.6289 1
```

Most intense lines, 2θ = 15–90°, low angle first:
hkl 1 1 0, 2θ 24.9, rel. 38
hkl 0 0 2, 2θ 26.8, rel. 15
hkl 2 -1 1, 2θ 28.3, rel. 100
hkl 1 0 2, 2θ 30.5, rel. 32
hkl 0 2 1, 2θ 31.9, rel. 13
hkl 2 -1 2, 2θ 36.9, rel. 26
hkl 3 0 0, 2θ 43.9, rel. 23
hkl 3 0 1, 2θ 46.0, rel. 24
hkl 2 2 1, 2θ 53.0, rel. 15
hkl 3 -1 3, 2θ 57.2, rel. 14



Copy entry 1 word for word.
Diffraction record for TaMn3Pd6. The powder diffractogram is computed, not measured: it uses a structure optimized by DFT (PBE) and Cu Kα (λ = 1.5418 Å).
Lines closer than 0.1° are merged.

Structural model:
```
data_TaMn3Pd6
_chemical_formula_sum 'Ta2 Mn6 Pd12'
_symmetry_space_group_name_H-M 'P 1 21/m 1'
_symmetry_Int_Tables_number 11
_cell_length_a 8.4947
_cell_length_b 4.0406
_cell_length_c 9.0296
_cell_angle_alpha 90.00
_cell_angle_beta 94.28
_cell_angle_gamma 90.00
loop_
_symmetry_equiv_pos_as_xyz
'x,y,z'
'-x,-y,-z'
'-x,y+1/2,-z'
'x,-y+1/2,z'
loop_
_atom_site_label
_atom_site_type_symbol
_atom_site_fract_x
_atom_site_fract_y
_atom_site_fract_z
_atom_site_occupancy
Ta1 Ta 0.0593 0.2500 0.3817 1
Mn1 Mn 0.2495 0.2500 0.0164 1
Mn2 Mn 0.3486 0.7500 0.8088 1
Mn3 Mn 0.4482 0.2500 0.6027 1
Pd1 Pd 0.0589 0.7500 0.9027 1
Pd2 Pd 0.1512 0.2500 0.7003 1
Pd3 Pd 0.1538 0.7500 0.2077 1
Pd4 Pd 0.2468 0.7500 0.5089 1
Pd5 Pd 0.3648 0.2500 0.3112 1
Pd6 Pd 0.4590 0.7500 0.1020 1
```

Most intense lines, 2θ = 15–90°, low angle first:
hkl 1 1 3, 2θ 39.5, rel. 100
hkl 3 1 -1, 2θ 39.6, rel. 100
hkl 2 0 -4, 2θ 44.1, rel. 35
hkl 0 2 0, 2θ 44.9, rel. 36
hkl 4 0 2, 2θ 48.9, rel. 27
hkl 2 2 -4, 2θ 64.8, rel. 21
hkl 4 2 2, 2θ 68.5, rel. 19
hkl 1 1 -7, 2θ 78.0, rel. 11
hkl 1 3 3, 2θ 79.1, rel. 13
hkl 3 3 -1, 2θ 79.2, rel. 13